Structure and simulated XRD peak list of HoTlP2O6 (a GGA-PBE-relaxed structure; copper Kα).
Lines closer than 0.1° are merged.

Cell lengths 7.6776, 11.0924, 8.4042 Å; angles 90.00, 95.17, 90.00 degrees
Space group C2/c (No. 15)
Inequivalent atoms, fractional coordinates:
Ho 0.0000 0.1646 0.2500 [4 per cell]
Tl 0.0000 0.4182 0.7500 [4 per cell]
P 0.1212 0.1318 0.6848 [8 per cell]
O 0.0689 0.1704 0.5124 [8 per cell]
O 0.1731 0.0032 0.2016 [8 per cell]
O 0.2335 0.2868 0.2339 [8 per cell]

Peak list (12 most intense, 2θ = 10–80°, by intensity)
2θ 21.23, I 100, (0 0 2); 2θ 19.20, I 72, (0 2 1); 2θ 29.57, I 64, (2 2 -1); 2θ 23.27, I 46, (2 0 0); 2θ 31.09, I 31, (2 2 1); 2θ 26.78, I 29, (1 3 0); 2θ 29.26, I 26, (1 3 1); 2θ 41.63, I 25, (2 2 -3); 2θ 36.03, I 23, (0 2 3); 2θ 33.13, I 22, (2 0 2); 2θ 28.47, I 22, (1 3 -1); 2θ 50.74, I 22, (4 2 -1)

Structure and simulated XRD peak list of HoPa2O7 (a GGA-PBE-relaxed structure; copper Kα).
Lines closer than 0.1° are merged.

Cell lengths 3.8756, 3.8756, 31.2728 Å; angles 90.00, 90.00, 120.00 degrees
Space group R-3m (No. 166, hexagonal axes)
Inequivalent atoms, fractional coordinates:
Ho 0.0000 0.0000 0.0000 [3 per cell]
Pa 0.0000 0.0000 0.4306 [6 per cell]
O 0.0000 0.0000 0.0751 [6 per cell]
O 0.0000 0.0000 0.2189 [6 per cell]
O 0.0000 0.0000 0.3604 [6 per cell]
O 0.0000 0.0000 0.5000 [3 per cell]

Peak list (12 most intense, 2θ = 10–80°, by intensity)
2θ 27.17, I 100, (0 1 2); 2θ 33.39, I 71, (1 0 7); 2θ 30.22, I 66, (0 1 5); 2θ 46.89, I 59, (1 1 0); 2θ 48.98, I 50, (0 1 14); 2θ 25.64, I 44, (0 0 9); 2θ 54.20, I 35, (1 1 9); 2θ 26.71, I 31, (1 0 1); 2θ 17.01, I 28, (0 0 6); 2θ 54.31, I 19, (1 0 16); 2θ 59.44, I 17, (1 1 12); 2θ 70.14, I 17, (2 0 14)

Structure and simulated XRD peak list of HoPaO4 (a GGA-PBE-relaxed structure; copper Kα).
Lines closer than 0.1° are merged.

Cell lengths 5.3802, 5.3802, 10.7488 Å; angles 90.00, 90.00, 90.00 degrees
Space group I4_1/amd (No. 141, origin choice 2)
Inequivalent atoms, fractional coordinates:
Ho 0.0000 0.2500 0.3750 [4 per cell]
Pa 0.0000 0.2500 0.8750 [4 per cell]
O 0.2408 0.0000 0.0000 [16 per cell]

Peak list (12 most intense, 2θ = 10–80°, by intensity)
2θ 28.75, I 100, (1 1 2); 2θ 47.84, I 50, (2 2 0); 2θ 56.77, I 46, (3 1 2); 2θ 33.32, I 35, (2 0 0); 2θ 77.34, I 19, (3 3 2); 2θ 79.74, I 14, (4 2 0); 2θ 59.54, I 10, (2 2 4); 2θ 69.97, I 8, (0 0 8); 2θ 18.44, I 4, (1 0 1); 2θ 45.41, I 1, (2 1 3); 2θ 38.33, I 1, (2 1 1); 2θ 29.96, I 1, (1 0 3)

Structure and simulated XRD peak list of HoPaPd2O8 (a GGA-PBE-relaxed structure; copper Kα).
Lines closer than 0.1° are merged.

Cell lengths 7.0634, 7.0634, 6.9376 Å; angles 90.00, 90.00, 90.00 degrees
Space group I-4m2 (No. 119)
Inequivalent atoms, fractional coordinates:
Ho 0.0000 0.0000 0.0000 [2 per cell]
Pa 0.0000 0.5000 0.7500 [2 per cell]
Pd 0.0000 0.0000 0.5000 [2 per cell]
Pd 0.0000 0.5000 0.2500 [2 per cell]
O 0.0000 0.1815 0.7131 [8 per cell]
O 0.0000 0.3256 0.0326 [8 per cell]

Peak list (12 most intense, 2θ = 10–80°, by intensity)
2θ 25.22, I 100, (2 0 0); 2θ 31.40, I 87, (1 1 2); 2θ 48.47, I 69, (3 1 2); 2θ 35.96, I 27, (2 2 0); 2θ 17.92, I 21, (1 0 1); 2θ 61.81, I 20, (3 3 2); 2θ 59.36, I 18, (2 0 4); 2θ 58.43, I 15, (4 2 0); 2θ 73.63, I 15, (5 1 2); 2θ 51.77, I 15, (4 0 0); 2θ 65.53, I 11, (2 2 4); 2θ 77.07, I 9, (4 0 4)

Structure and simulated XRD peak list of HoPaSe2O (a GGA-PBE-relaxed structure; copper Kα).
Lines closer than 0.1° are merged.

Cell lengths 3.9364, 3.9364, 13.8858 Å; angles 90.00, 90.00, 90.00 degrees
Space group P4/nmm (No. 129, origin choice 2)
Inequivalent atoms, fractional coordinates:
Ho 0.2500 0.2500 0.0964 [2 per cell]
Pa 0.2500 0.2500 0.5944 [2 per cell]
Se 0.2500 0.2500 0.3078 [2 per cell]
Se 0.2500 0.2500 0.8858 [2 per cell]
O 0.2500 0.7500 0.5000 [2 per cell]

Peak list (12 most intense, 2θ = 10–80°, by intensity)
2θ 32.16, I 100, (1 1 0); 2θ 26.02, I 61, (1 0 2); 2θ 34.45, I 60, (1 0 4); 2θ 41.59, I 47, (1 1 4); 2θ 46.12, I 42, (2 0 0); 2θ 25.66, I 34, (0 0 4); 2θ 58.81, I 26, (2 1 4); 2θ 29.80, I 23, (1 0 3); 2θ 51.34, I 23, (1 1 6); 2θ 53.52, I 19, (2 0 4); 2θ 12.75, I 19, (0 0 2); 2θ 53.72, I 18, (2 1 2)

Structure and simulated XRD peak list of HoPaSnO6 (a GGA-PBE-relaxed structure; copper Kα).
Lines closer than 0.1° are merged.

Cell lengths 5.5342, 5.5342, 9.6120 Å; angles 90.00, 90.00, 120.00 degrees
Space group P-31c (No. 163)
Inequivalent atoms, fractional coordinates:
Ho 0.3333 0.6667 0.2500 [2 per cell]
Pa 0.0000 0.0000 0.0000 [2 per cell]
Sn 0.3333 0.6667 0.7500 [2 per cell]
O 0.0229 0.3411 0.6296 [12 per cell]

Peak list (12 most intense, 2θ = 10–80°, by intensity)
2θ 26.26, I 100, (1 0 2); 2θ 32.35, I 46, (1 1 0); 2θ 50.29, I 40, (1 1 4); 2θ 42.13, I 31, (2 0 2); 2θ 54.10, I 29, (3 -1 2); 2θ 70.79, I 16, (3 0 4); 2θ 57.70, I 15, (3 0 0); 2θ 73.99, I 11, (3 1 2); 2θ 37.45, I 11, (0 0 4); 2θ 60.98, I 10, (1 0 6); 2θ 79.94, I 9, (2 1 6); 2θ 18.50, I 7, (1 0 0)